[1]
Starting from DFT lattice parameters and positions (PBE), the powder XRD pattern of SbCSCl2F9 was calculated for copper Kα.
Peak positions follow from Bragg's law for the DFT cell and can differ from measured ones.

The 6 most intense peaks (2θ = 15–90°), low angle first:
2θ/deg	I (rel.)
16.39	59
18.09	68
21.61	100
22.52	38
24.50	50
26.04	48

Structural model:
Cell: 8.0277 9.8078 12.7499 Å, 90.00 100.38 90.00°
Fractional coordinates of all 56 atoms:
Sb1 0.1970 0.2493 0.0665
Sb2 0.1970 0.2507 0.5665
Sb3 0.8030 0.7493 0.4335
Sb4 0.8030 0.7507 0.9335
C1 0.3802 0.6741 0.6270
C2 0.3802 0.8259 0.1270
C3 0.6198 0.1741 0.8730
C4 0.6198 0.3259 0.3730
S1 0.1753 0.6772 0.7001
S2 0.1753 0.8228 0.2001
S3 0.8247 0.1772 0.7999
S4 0.8247 0.3228 0.2999
Cl1 0.1851 0.6307 0.2477
Cl2 0.1851 0.8693 0.7477
Cl3 0.2624 0.5702 0.8302
Cl4 0.2624 0.9298 0.3302
Cl5 0.7376 0.0702 0.6698
Cl6 0.7376 0.4298 0.1698
Cl7 0.8149 0.1307 0.2523
Cl8 0.8149 0.3693 0.7523
F1 0.0275 0.7051 0.0086
F2 0.0275 0.7949 0.5086
F3 0.1113 0.0765 0.1071
F4 0.1113 0.4235 0.6071
F5 0.1399 0.1713 0.6935
F6 0.1399 0.3287 0.1935
F7 0.2440 0.1697 0.9381
F8 0.2440 0.3303 0.4381
F9 0.2834 0.0784 0.5292
F10 0.2834 0.4216 0.0292
F11 0.3247 0.6203 0.5314
F12 0.3247 0.8797 0.0314
F13 0.4176 0.1995 0.1413
F14 0.4176 0.3005 0.6413
F15 0.4329 0.6989 0.1189
F16 0.4329 0.8011 0.6189
F17 0.4982 0.5970 0.6840
F18 0.4982 0.9030 0.1840
F19 0.5018 0.0970 0.8160
F20 0.5018 0.4030 0.3160
F21 0.5671 0.1989 0.3811
F22 0.5671 0.3011 0.8811
F23 0.5824 0.6995 0.3587
F24 0.5824 0.8005 0.8587
F25 0.6753 0.1203 0.9686
F26 0.6753 0.3797 0.4686
F27 0.7166 0.5784 0.9708
F28 0.7166 0.9216 0.4708
F29 0.7560 0.6697 0.5619
F30 0.7560 0.8303 0.0619
F31 0.8601 0.6713 0.8065
F32 0.8601 0.8287 0.3065
F33 0.8887 0.5765 0.3929
F34 0.8887 0.9235 0.8929
F35 0.9725 0.2051 0.4914
F36 0.9725 0.2949 0.9914


[2]
Starting from DFT lattice parameters and positions (PBE), the powder XRD pattern of SiCCl3F3 was calculated for copper Kα.
Peak positions follow from Bragg's law for the DFT cell and can differ from measured ones.

The 6 most intense peaks (2θ = 15–90°), low angle first:
2θ/deg	I (rel.)
17.78	100
18.29	83
26.97	58
29.62	69
31.95	70
37.94	56

Structural model:
Cell: 7.7463 7.7463 6.4833 Å, 92.03 92.03 77.55°
Fractional coordinates of all 16 atoms:
Si1 0.1934 0.1934 0.1825
Si2 0.8066 0.8066 0.8175
C1 0.3510 0.3510 0.2579
C2 0.6490 0.6490 0.7421
Cl1 0.0453 0.7005 0.6971
Cl2 0.1754 0.1754 0.8700
Cl3 0.2995 0.9547 0.3029
Cl4 0.7005 0.0453 0.6971
Cl5 0.8246 0.8246 0.1300
Cl6 0.9547 0.2995 0.3029
F1 0.2897 0.5167 0.1838
F2 0.3690 0.3690 0.4683
F3 0.4833 0.7103 0.8162
F4 0.5167 0.2897 0.1838
F5 0.6310 0.6310 0.5317
F6 0.7103 0.4833 0.8162


[3]
Starting from DFT lattice parameters and positions (PBE), the powder XRD pattern of TeC4Cl2F6 was calculated for copper Kα.
Peak positions follow from Bragg's law for the DFT cell and can differ from measured ones.

The 6 most intense peaks (2θ = 15–90°), low angle first:
2θ/deg	I (rel.)
18.69	100
19.99	44
24.52	51
26.51	80
30.90	67
34.23	42

Structural model:
Cell: 7.4736 7.4736 9.2465 Å, 100.56 100.56 97.53°
Fractional coordinates of all 26 atoms:
Te1 0.0766 0.9234 0.7500
Te2 0.9234 0.0766 0.2500
C1 0.0687 0.4629 0.2056
C2 0.0831 0.6633 0.8141
C3 0.3367 0.9169 0.6859
C4 0.4629 0.0687 0.7056
C5 0.5371 0.9313 0.2944
C6 0.6633 0.0831 0.3141
C7 0.9169 0.3367 0.1859
C8 0.9313 0.5371 0.7944
Cl1 0.0724 0.2483 0.5155
Cl2 0.2483 0.0724 0.0155
Cl3 0.7517 0.9276 0.9845
Cl4 0.9276 0.7517 0.4845
F1 0.0680 0.6215 0.1597
F2 0.2360 0.4452 0.2722
F3 0.2476 0.6327 0.8845
F4 0.3673 0.7524 0.6155
F5 0.3785 0.9320 0.3403
F6 0.4452 0.2360 0.7722
F7 0.5548 0.7640 0.2278
F8 0.6215 0.0680 0.6597
F9 0.6327 0.2476 0.3845
F10 0.7524 0.3673 0.1155
F11 0.7640 0.5548 0.7278
F12 0.9320 0.3785 0.8403